# SmAl2Si2
Simulated powder diffraction line list, λ = 1.5418 Å (Cu Kα). Input: a cell relaxed with PBE.
Lines closer than 0.1° are merged.

Cell and atoms:
a = 4.224 Å, b = 4.224 Å, c = 6.719 Å
α = 90.00°, β = 90.00°, γ = 120.00°
Positions (direct):
Sm1 0.000 0.000 0.000
Al1 0.333 0.667 0.358
Al2 0.667 0.333 0.642
Si1 0.333 0.667 0.735
Si2 0.667 0.333 0.265

Top 8 peaks for 2θ = 10–80°, sorted by position:
| h k l | two_theta | I/Imax |
| --- | --- | --- |
| 0 0 1 | 13.2 | 37.0 |
| 1 0 0 | 24.3 | 20.1 |
| 1 0 1 | 27.8 | 100.0 |
| 1 0 2 | 36.3 | 59.5 |
| 1 1 0 | 42.8 | 36.1 |
| 0 2 1 | 51.8 | 17.7 |
| 0 2 2 | 57.4 | 15.7 |
| 1 1 3 | 60.2 | 17.8 |

# CuTe
Simulated powder diffraction line list, λ = 1.5418 Å (Cu Kα). Input: a cell relaxed with PBE.
Lines closer than 0.1° are merged.

Cell and atoms:
a = 3.870 Å, b = 5.442 Å, c = 3.903 Å
α = 90.00°, β = 90.00°, γ = 90.00°
Positions (direct):
Cu1 0.250 0.250 0.209
Cu2 0.750 0.750 0.791
Te1 0.250 0.750 0.283
Te2 0.750 0.250 0.717

Top 8 peaks for 2θ = 10–80°, sorted by position:
| h k l | two_theta | I/Imax |
| --- | --- | --- |
| 1 0 1 | 32.6 | 100.0 |
| 0 2 0 | 32.9 | 51.2 |
| 0 0 2 | 46.5 | 15.5 |
| 2 0 0 | 47.0 | 89.1 |
| 0 2 2 | 58.2 | 15.5 |
| 2 2 0 | 58.5 | 18.8 |
| 2 2 2 | 77.9 | 12.8 |
| 1 4 1 | 78.4 | 14.7 |